1.
For PtS2ClO8, a cell relaxed with GGA-PBE gives the theoretical powder diffraction line list in this record (Cu Kα X-rays).
Intensities are scaled so that the largest is 100.

Principal peaks in the range 10° ≤ 2θ ≤ 80°, sorted by position:
2θ (°)	d [Å]	intensity
19.04	4.662	29
20.29	4.376	49
22.17	4.009	100
24.66	3.610	35
27.52	3.241	74
28.40	3.143	38
30.20	2.959	24
34.34	2.611	20
37.81	2.379	32
39.56	2.278	26

Cell and atoms:
```
data_PtS2ClO8
_chemical_formula_sum 'Pt1 S2 Cl1 O8'
_space_group_name_H-M_alt 'P 1'
_space_group_IT_number 1
_cell_length_a 4.790
_cell_length_b 4.790
_cell_length_c 9.339
_cell_angle_alpha 92.69
_cell_angle_beta 92.69
_cell_angle_gamma 66.07
loop_
_space_group_symop_operation_xyz
'x,y,z'
loop_
_atom_site_label
_atom_site_fract_x
_atom_site_fract_y
_atom_site_fract_z
_atom_site_occupancy
Pt1 0.000 0.000 0.000 1
S1 0.363 0.363 0.167 1
S2 0.637 0.637 0.833 1
Cl1 0.000 0.000 0.500 1
O1 0.244 0.712 0.158 1
O2 0.252 0.252 0.028 1
O3 0.283 0.283 0.299 1
O4 0.288 0.756 0.842 1
O5 0.712 0.244 0.158 1
O6 0.717 0.717 0.701 1
O7 0.748 0.748 0.972 1
O8 0.756 0.288 0.842 1
```

=====

2.
For PuCl4O, a cell relaxed with GGA-PBE gives the theoretical powder diffraction line list in this record (Cu Kα X-rays).
Intensities are scaled so that the largest is 100.

Principal peaks in the range 10° ≤ 2θ ≤ 80°, sorted by position:
2θ (°)	d [Å]	intensity
12.86	6.882	100
18.23	4.866	39
23.71	3.753	65
29.01	3.078	33
30.07	2.972	21
35.39	2.536	18
36.94	2.433	14
41.49	2.176	15
44.37	2.042	26
52.09	1.756	17

Cell and atoms:
```
data_PuCl4O
_chemical_formula_sum 'Pu2 Cl8 O2'
_space_group_name_H-M_alt 'P 1'
_space_group_IT_number 1
_cell_length_a 9.733
_cell_length_b 9.733
_cell_length_c 4.068
_cell_angle_alpha 90.00
_cell_angle_beta 90.00
_cell_angle_gamma 90.00
loop_
_space_group_symop_operation_xyz
'x,y,z'
loop_
_atom_site_label
_atom_site_fract_x
_atom_site_fract_y
_atom_site_fract_z
_atom_site_occupancy
Pu1 0.000 0.000 0.000 1
Pu2 0.500 0.500 0.500 1
Cl1 0.055 0.248 0.000 1
Cl2 0.248 0.945 0.000 1
Cl3 0.252 0.555 0.500 1
Cl4 0.445 0.252 0.500 1
Cl5 0.555 0.748 0.500 1
Cl6 0.748 0.445 0.500 1
Cl7 0.752 0.055 0.000 1
Cl8 0.945 0.752 0.000 1
O1 0.000 0.000 0.500 1
O2 0.500 0.500 0.000 1
```

=====

3.
For PuTl2Cl2O2, a cell relaxed with GGA-PBE gives the theoretical powder diffraction line list in this record (Cu Kα X-rays).
Intensities are scaled so that the largest is 100.

Principal peaks in the range 10° ≤ 2θ ≤ 80°, sorted by position:
2θ (°)	d [Å]	intensity
10.16	8.704	35
25.47	3.497	100
28.82	3.098	74
32.86	2.726	54
41.21	2.191	34
49.07	1.856	37
51.31	1.781	22
53.68	1.708	27
59.92	1.544	17
77.54	1.231	17

Cell and atoms:
```
data_PuTl2Cl2O2
_chemical_formula_sum 'Pu2 Tl4 Cl4 O4'
_space_group_name_H-M_alt 'P 1'
_space_group_IT_number 1
_cell_length_a 4.381
_cell_length_b 4.381
_cell_length_c 17.408
_cell_angle_alpha 90.00
_cell_angle_beta 90.00
_cell_angle_gamma 90.00
loop_
_space_group_symop_operation_xyz
'x,y,z'
loop_
_atom_site_label
_atom_site_fract_x
_atom_site_fract_y
_atom_site_fract_z
_atom_site_occupancy
Pu1 0.000 0.000 0.000 1
Pu2 0.500 0.500 0.500 1
Tl1 0.000 0.000 0.368 1
Tl2 0.000 0.000 0.632 1
Tl3 0.500 0.500 0.132 1
Tl4 0.500 0.500 0.868 1
Cl1 0.000 0.000 0.163 1
Cl2 0.000 0.000 0.837 1
Cl3 0.500 0.500 0.337 1
Cl4 0.500 0.500 0.663 1
O1 0.000 0.500 0.000 1
O2 0.000 0.500 0.500 1
O3 0.500 0.000 0.000 1
O4 0.500 0.000 0.500 1
```

=====

4.
For PuTl2Cl3O3, a cell relaxed with GGA-PBE gives the theoretical powder diffraction line list in this record (Cu Kα X-rays).
Intensities are scaled so that the largest is 100.

Principal peaks in the range 10° ≤ 2θ ≤ 80°, sorted by position:
2θ (°)	d [Å]	intensity
21.62	4.111	100
29.81	2.997	38
37.12	2.422	33
37.90	2.374	34
43.36	2.087	39
44.05	2.056	16
54.10	1.695	18
59.49	1.554	15
60.39	1.533	13
63.53	1.464	15

Cell and atoms:
```
data_PuTl2Cl3O3
_chemical_formula_sum 'Pu1 Tl2 Cl3 O3'
_space_group_name_H-M_alt 'P 1'
_space_group_IT_number 1
_cell_length_a 8.223
_cell_length_b 8.223
_cell_length_c 3.304
_cell_angle_alpha 90.00
_cell_angle_beta 90.00
_cell_angle_gamma 120.00
loop_
_space_group_symop_operation_xyz
'x,y,z'
loop_
_atom_site_label
_atom_site_fract_x
_atom_site_fract_y
_atom_site_fract_z
_atom_site_occupancy
Pu1 0.000 0.000 0.000 1
Tl1 0.333 0.667 0.500 1
Tl2 0.667 0.333 0.500 1
Cl1 0.000 0.619 0.000 1
Cl2 0.381 0.381 0.000 1
Cl3 0.619 0.000 0.000 1
O1 0.000 0.172 0.500 1
O2 0.172 0.000 0.500 1
O3 0.828 0.828 0.500 1
```

=====

5.
For Rb12ClO5, a cell relaxed with GGA-PBE gives the theoretical powder diffraction line list in this record (Cu Kα X-rays).
Intensities are scaled so that the largest is 100.

Principal peaks in the range 10° ≤ 2θ ≤ 80°, sorted by position:
2θ (°)	d [Å]	intensity
11.28	7.842	99
22.68	3.921	16
24.43	3.643	39
26.35	3.382	100
29.35	3.043	50
33.06	2.709	50
37.39	2.405	26
42.18	2.142	46
51.83	1.764	18
52.69	1.737	16

Cell and atoms:
```
data_Rb12ClO5
_chemical_formula_sum 'Rb12 Cl1 O5'
_space_group_name_H-M_alt 'P 1'
_space_group_IT_number 1
_cell_length_a 7.496
_cell_length_b 7.496
_cell_length_c 15.684
_cell_angle_alpha 90.04
_cell_angle_beta 90.04
_cell_angle_gamma 120.08
loop_
_space_group_symop_operation_xyz
'x,y,z'
loop_
_atom_site_label
_atom_site_fract_x
_atom_site_fract_y
_atom_site_fract_z
_atom_site_occupancy
Rb1 0.001 0.334 0.083 1
Rb2 0.118 0.118 0.404 1
Rb3 0.118 0.500 0.596 1
Rb4 0.334 0.001 0.083 1
Rb5 0.334 0.334 0.917 1
Rb6 0.500 0.118 0.596 1
Rb7 0.500 0.882 0.404 1
Rb8 0.666 0.666 0.083 1
Rb9 0.666 0.999 0.917 1
Rb10 0.882 0.500 0.404 1
Rb11 0.882 0.882 0.596 1
Rb12 0.999 0.666 0.917 1
Cl1 0.500 0.500 0.500 1
O1 0.000 0.000 0.000 1
O2 0.167 0.833 0.500 1
O3 0.333 0.667 0.000 1
O4 0.667 0.333 0.000 1
O5 0.833 0.167 0.500 1
```

=====

6.
For Rb4Cl4O3, a cell relaxed with GGA-PBE gives the theoretical powder diffraction line list in this record (Cu Kα X-rays).
Intensities are scaled so that the largest is 100.

Principal peaks in the range 10° ≤ 2θ ≤ 80°, sorted by position:
2θ (°)	d [Å]	intensity
18.46	4.807	58
21.45	4.142	26
22.93	3.879	41
27.16	3.283	57
30.10	2.969	100
33.04	2.711	42
33.28	2.692	40
40.99	2.202	68
43.47	2.082	30
56.02	1.641	20

Cell and atoms:
```
data_Rb4Cl4O3
_chemical_formula_sum 'Rb4 Cl4 O3'
_space_group_name_H-M_alt 'P 1'
_space_group_IT_number 1
_cell_length_a 5.978
_cell_length_b 5.978
_cell_length_c 13.132
_cell_angle_alpha 90.03
_cell_angle_beta 90.03
_cell_angle_gamma 53.53
loop_
_space_group_symop_operation_xyz
'x,y,z'
loop_
_atom_site_label
_atom_site_fract_x
_atom_site_fract_y
_atom_site_fract_z
_atom_site_occupancy
Rb1 0.000 0.000 0.000 1
Rb2 0.000 0.000 0.497 1
Rb3 0.313 0.313 0.748 1
Rb4 0.315 0.315 0.248 1
Cl1 0.000 0.000 0.249 1
Cl2 0.314 0.314 0.500 1
Cl3 0.315 0.315 0.997 1
Cl4 0.997 0.997 0.748 1
O1 0.613 0.613 0.249 1
O2 0.677 0.677 0.165 1
O3 0.677 0.677 0.334 1
```

=====

7.
For Rb2ReCl5O, a cell relaxed with GGA-PBE gives the theoretical powder diffraction line list in this record (Cu Kα X-rays).
Intensities are scaled so that the largest is 100.

Principal peaks in the range 10° ≤ 2θ ≤ 80°, sorted by position:
2θ (°)	d [Å]	intensity
15.15	5.847	100
24.07	3.697	27
25.26	3.526	64
28.57	3.125	30
30.58	2.924	31
34.30	2.614	46
37.68	2.387	21
43.07	2.100	30
45.22	2.005	26
51.86	1.763	32

Cell and atoms:
```
data_Rb2ReCl5O
_chemical_formula_sum 'Rb2 Re1 Cl5 O1'
_space_group_name_H-M_alt 'P 1'
_space_group_IT_number 1
_cell_length_a 7.081
_cell_length_b 7.081
_cell_length_c 7.081
_cell_angle_alpha 117.05
_cell_angle_beta 117.05
_cell_angle_gamma 95.19
loop_
_space_group_symop_operation_xyz
'x,y,z'
loop_
_atom_site_label
_atom_site_fract_x
_atom_site_fract_y
_atom_site_fract_z
_atom_site_occupancy
Rb1 0.000 0.500 0.500 1
Rb2 0.500 0.000 0.500 1
Re1 0.270 0.270 0.000 1
Cl1 0.012 0.012 0.000 1
Cl2 0.020 0.020 0.541 1
Cl3 0.020 0.479 0.000 1
Cl4 0.479 0.020 0.000 1
Cl5 0.479 0.479 0.459 1
O1 0.449 0.449 0.000 1
```

=====

8.
For Rb6SCl2O, a cell relaxed with GGA-PBE gives the theoretical powder diffraction line list in this record (Cu Kα X-rays).
Intensities are scaled so that the largest is 100.

Principal peaks in the range 10° ≤ 2θ ≤ 80°, sorted by position:
2θ (°)	d [Å]	intensity
14.87	5.956	29
21.24	4.183	27
25.01	3.560	48
27.04	3.298	100
30.01	2.978	48
30.47	2.934	45
30.98	2.887	45
33.66	2.663	55
37.63	2.390	27
43.29	2.090	30

Cell and atoms:
```
data_Rb6SCl2O
_chemical_formula_sum 'Rb12 S2 Cl4 O2'
_space_group_name_H-M_alt 'P 1'
_space_group_IT_number 1
_cell_length_a 7.973
_cell_length_b 11.735
_cell_length_c 8.959
_cell_angle_alpha 90.00
_cell_angle_beta 90.00
_cell_angle_gamma 90.00
loop_
_space_group_symop_operation_xyz
'x,y,z'
loop_
_atom_site_label
_atom_site_fract_x
_atom_site_fract_y
_atom_site_fract_z
_atom_site_occupancy
Rb1 0.008 0.250 0.027 1
Rb2 0.022 0.750 0.391 1
Rb3 0.250 0.013 0.799 1
Rb4 0.250 0.487 0.799 1
Rb5 0.478 0.750 0.391 1
Rb6 0.492 0.250 0.027 1
Rb7 0.508 0.750 0.973 1
Rb8 0.522 0.250 0.609 1
Rb9 0.750 0.513 0.201 1
Rb10 0.750 0.987 0.201 1
Rb11 0.978 0.250 0.609 1
Rb12 0.992 0.750 0.973 1
S1 0.250 0.750 0.688 1
S2 0.750 0.250 0.312 1
Cl1 0.250 0.560 0.158 1
Cl2 0.250 0.940 0.158 1
Cl3 0.750 0.060 0.842 1
Cl4 0.750 0.440 0.842 1
O1 0.250 0.250 0.796 1
O2 0.750 0.750 0.204 1
```